Ac6CeSn6: simulated PXRD pattern (copper Kα), based on a cell relaxed with GGA-PBE.

Cell: 8.0959 8.0959 9.4442 Å, 90.00 90.00 120.00°
Space group P6/mmm (No. 191)
Inequivalent atoms, fractional coordinates:
Ac 0.0000 0.5000 0.2447
Ce 0.0000 0.0000 0.5000
Sn 0.0000 0.0000 0.1618
Sn 0.3333 0.6667 0.0000
Sn 0.3333 0.6667 0.5000

Main lines, by angle (10 to 90 degrees two-theta):
12.63 deg, I = 16, (1 0 0); 25.41 deg, I = 80, (2 0 0); 29.05 deg, I = 49, (1 1 2); 31.79 deg, I = 100, (2 0 2); 43.19 deg, I = 17, (3 0 2); 44.77 deg, I = 45, (2 2 0); 46.37 deg, I = 17, (2 0 4); 55.96 deg, I = 21, (4 0 2); 60.23 deg, I = 25, (2 2 4); 74.36 deg, I = 19, (4 2 2)